# Ge3Bi4O12
Simulated X-ray diffraction stick pattern, Cu Kα (λ = 1.5418 Å). Input: a cell relaxed with PBE.
No peak broadening, texture or thermal motion is included.

Main lines, by angle (10° ≤ 2θ ≤ 80°):
20.40°, rel. 59.1
26.44°, rel. 100.0
31.39°, rel. 99.7
41.49°, rel. 44.1
43.27°, rel. 32.6
52.94°, rel. 38.2
55.89°, rel. 23.6
61.50°, rel. 20.8

Structural model:
```
38
Lattice="-5.3308 5.3308 5.3308 5.3308 -5.3308 5.3308 5.3308 5.3308 -5.3308" Properties=species:S:1:pos:R:3 pbc="T T T"
Ge 7.9962 1.3327 0.0000
Ge 3.9981 0.0000 2.6654
Ge 2.6654 3.9981 0.0000
Ge 0.0000 2.6654 3.9981
Ge 1.3327 0.0000 7.9962
Ge 0.0000 7.9962 1.3327
Bi 4.4047 0.9261 -0.9261
Bi 7.0701 -1.7393 1.7393
Bi 0.9261 0.9261 0.9261
Bi 0.9261 -0.9261 4.4047
Bi -0.9261 4.4047 0.9261
Bi 1.7393 7.0701 -1.7393
Bi 3.5915 3.5915 3.5915
Bi -1.7393 1.7393 7.0701
O 4.8993 -1.3355 1.9185
O 6.0778 4.0010 -3.0969
O 6.6607 2.2339 -0.7469
O 7.2493 0.4315 1.3355
O 3.0969 0.7469 1.3299
O 4.0010 3.0969 -0.7469
O 4.0010 -3.0969 6.0778
O 3.0969 -0.7469 4.0010
O 1.9185 4.8993 -1.3355
O 1.3299 3.0969 0.7469
O 0.7469 1.3299 3.0969
O 4.8993 1.3355 3.4123
O 2.2339 -0.7469 6.6607
O 3.4123 4.8993 1.3355
O -1.3355 1.9185 4.8993
O -0.7469 4.0010 3.0969
O 5.7623 3.9953 3.4123
O 1.3355 7.2493 0.4315
O 1.3355 3.4123 4.8993
O 0.4315 1.3355 7.2493
O -0.7469 6.6607 2.2339
O 3.9953 3.4123 5.7623
O 3.4123 5.7623 3.9953
O -3.0969 6.0778 4.0010
```